1.
TlIn3: simulated powder diffractogram (CuKα), based on a GGA-PBE-relaxed structure.

Cell: 3.293 3.293 10.620 Å, 90.00 90.00 90.00°
Space group P4/mmm (No. 123)
Symmetry-distinct sites (fractional):
Tl1 0.000 0.000 0.000 x1
In1 0.000 0.000 0.500 x1
In2 0.500 0.500 0.270 x2

Largest 12 diffraction maxima, most intense first, 10 to 90 degrees two-theta:
Position (°2θ)  I (rel.)  index
31.98  100  1 0 2
38.67  31  1 1 0
65.82  24  2 1 2
52.26  23  1 1 4
33.76  20  0 0 4
59.27  14  1 0 6
66.87  11  2 0 4
55.85  10  2 0 0
85.85  10  2 1 6
28.38  6  1 0 1
51.18  4  1 0 5
25.16  4  0 0 3

2.
Ag6GeS4Br2: simulated powder diffractogram (CuKα), based on a GGA-PBE-relaxed structure.

Cell: 6.608 7.832 23.409 Å, 90.00 90.00 90.00°
Space group Pnma (No. 62)
Symmetry-distinct sites (fractional):
Ag1 0.000 0.000 0.000 x4
Ag2 0.002 0.065 0.428 x8
Ag3 0.031 0.750 0.144 x4
Ag4 0.096 0.044 0.281 x8
Ge1 0.004 0.250 0.131 x4
S1 0.187 0.512 0.872 x8
S2 0.188 0.250 0.048 x4
S3 0.216 0.250 0.205 x4
Br1 0.134 0.250 0.709 x4
Br2 0.170 0.250 0.541 x4

Largest 12 diffraction maxima, most intense first, 10 to 90 degrees two-theta:
Position (°2θ)  I (rel.)  index
29.95  100  1 0 7
28.87  33  1 2 3
38.84  25  2 2 4
27.55  22  1 2 2
26.99  22  2 0 0
37.87  19  1 3 2
34.57  15  0 3 1
35.19  15  1 2 6
43.92  15  1 3 6
56.20  14  1 4 7
29.35  12  2 1 0
48.71  12  1 3 8

3.
ErCo4B4: simulated powder diffractogram (CuKα), based on a GGA-PBE-relaxed structure.

Cell: 5.001 5.001 6.967 Å, 90.00 90.00 90.00°
Space group P4_2/nmc (No. 137, origin choice 2)
Symmetry-distinct sites (fractional):
Er1 0.250 0.750 0.250 x2
Co1 0.004 0.750 0.612 x8
B1 0.075 0.250 0.093 x8

Largest 12 diffraction maxima, most intense first, 10 to 90 degrees two-theta:
Position (°2θ)  I (rel.)  index
42.44  100  2 1 1
42.94  60  1 0 3
25.18  37  1 1 0
36.20  36  1 1 2
38.24  30  2 0 1
21.88  25  1 0 1
69.04  22  3 2 1
76.82  21  2 2 4
35.91  19  2 0 0
44.60  18  2 0 2
31.29  18  1 0 2
48.36  16  2 1 2

4.
KAlO2: simulated powder diffractogram (CuKα), based on a GGA-PBE-relaxed structure.

Cell: 5.583 5.583 7.778 Å, 90.00 90.00 90.00°
Space group P4_12_12 (No. 92)
Symmetry-distinct sites (fractional):
K1 0.225 0.225 0.000 x4
Al1 0.212 0.212 0.500 x4
O1 0.086 0.756 0.923 x8

Largest 12 diffraction maxima, most intense first, 10 to 90 degrees two-theta:
Position (°2θ)  I (rel.)  index
32.31  100  1 1 2
32.07  86  2 0 0
57.32  39  3 1 2
27.96  23  1 0 2
57.79  19  2 0 4
37.85  17  2 1 1
77.50  14  1 1 6
43.05  14  2 1 2
38.28  14  1 0 3
67.64  13  2 2 4
45.98  11  2 2 0
60.34  9  2 1 4

5.
LaYMg6: simulated powder diffractogram (CuKα), based on a GGA-PBE-relaxed structure.

Cell: 5.236 7.024 11.403 Å, 90.00 90.00 90.00°
Space group Amm2 (No. 38)
Symmetry-distinct sites (fractional):
La1 0.000 0.000 0.000 x2
Y1 0.500 0.000 0.303 x2
Mg1 0.000 0.000 0.482 x2
Mg2 0.000 0.228 0.742 x4
Mg3 0.500 0.000 0.814 x2
Mg4 0.500 0.225 0.560 x4

Largest 12 diffraction maxima, most intense first, 10 to 90 degrees two-theta:
Position (°2θ)  I (rel.)  index
34.54  100  1 2 2
22.57  56  1 1 1
23.06  32  1 0 2
14.81  31  0 1 1
34.25  30  2 0 0
35.87  26  1 0 4
26.67  22  0 1 3
31.38  20  0 0 4
61.52  18  3 2 2
54.95  15  0 2 6
25.36  15  0 2 0
43.08  13  2 2 0

6.
K3Cr: simulated powder diffractogram (CuKα), based on a GGA-PBE-relaxed structure.

Cell: 5.918 5.918 5.918 Å, 90.00 90.00 90.00°
Space group Pm-3m (No. 221)
Symmetry-distinct sites (fractional):
K1 0.000 0.000 0.500 x3
Cr1 0.500 0.500 0.500 x1

Largest 12 diffraction maxima, most intense first, 10 to 90 degrees two-theta:
Position (°2θ)  I (rel.)  index
26.08  100  1 1 1
30.20  50  2 0 0
51.19  39  3 1 1
43.24  34  2 2 0
69.19  14  3 3 1
71.26  13  4 2 0
53.65  11  2 2 2
85.20  10  5 1 1
79.31  9  4 2 2
62.81  5  4 0 0
14.97  1  1 0 0
21.23  1  1 1 0